Calculated powder XRD pattern
Compound: HgSeO3
Radiation: CuKα
Structure: a DFT-relaxed cell (PBE, Alexandria)

Principal peaks in the range 10° ≤ 2θ ≤ 90°, in order of falling intensity:
2theta	I/Imax	h k l
28.9	100	1 2 1
29.1	25	0 0 2
20.2	25	1 0 1
51.4	22	1 2 3
41.0	17	2 0 2
28.2	16	2 0 0
50.4	14	3 2 1
59.8	12	2 4 2
83.1	11	1 6 3
46.6	11	1 4 1

Structure:
abc: 6.323 8.690 6.144
angles: 90.00 90.00 90.00
Space group Pnma (No. 62)
One atom of each set of equivalent atoms:
Hg  0.000  0.000  0.000 x4
Se  0.078  0.250  0.496 x4
O  0.157  0.250  0.235 x4
O  0.213  0.092  0.615 x8

Calculated powder XRD pattern
Compound: Hg3SeO6
Radiation: CuKα
Structure: a DFT-relaxed cell (PBE, Alexandria)

Principal peaks in the range 10° ≤ 2θ ≤ 90°, in order of falling intensity:
2theta	I/Imax	h k l
29.6	100	2 0 1
32.8	61	0 2 2
24.2	59	0 0 3
43.7	38	2 0 4
56.6	23	4 -2 3
50.6	20	0 2 5
50.3	18	2 2 0
81.6	10	6 -4 1
73.3	10	4 -2 6
59.5	9	0 4 1

Structure:
abc: 7.2535 7.2535 11.0321
angles: 90.00 90.00 120.00
Space group P3_1 (No. 144)
One atom of each set of equivalent atoms:
Hg  0.0268  0.1675  0.0000 x3
Hg  0.0397  0.6697  0.9975 x3
Hg  0.5284  0.1691  0.9825 x3
Se  0.1106  0.4311  0.6522 x3
O  0.0009  0.1910  0.2843 x3
O  0.0094  0.2380  0.7581 x3
O  0.1121  0.7092  0.2372 x3
O  0.2173  0.6679  0.7210 x3
O  0.4765  0.1390  0.7007 x3
O  0.4815  0.0865  0.2233 x3

Calculated powder XRD pattern
Compound: HgSeO3
Radiation: CuKα
Structure: a DFT-relaxed cell (PBE, Alexandria)

Principal peaks in the range 10° ≤ 2θ ≤ 90°, in order of falling intensity:
2theta	I/Imax	h k l
24.5	100	0 2 1
25.8	72	0 0 2
29.6	68	1 2 -2
32.1	49	2 1 -1
17.9	44	1 1 -1
20.9	27	1 0 -2
31.3	27	2 1 -2
27.6	27	1 2 0
36.4	26	1 3 0
44.9	22	1 4 -1

Structure:
abc: 6.142 8.553 8.573
angles: 90.00 126.27 90.00
Space group P2_1/c (No. 14)
One atom of each set of equivalent atoms:
Hg  0.141  0.070  0.291 x4
Se  0.393  0.698  0.263 x4
O  0.122  0.685  0.617 x4
O  0.244  0.531  0.282 x4
O  0.457  0.624  0.099 x4

Calculated powder XRD pattern
Compound: Hg2SeO4
Radiation: CuKα
Structure: a DFT-relaxed cell (PBE, Alexandria)

Principal peaks in the range 10° ≤ 2θ ≤ 90°, in order of falling intensity:
2theta	I/Imax	h k l
27.3	100	0 1 2
18.3	43	0 1 0
24.9	41	1 0 2
20.1	40	0 0 2
23.0	33	1 1 0
33.5	29	2 1 0
25.4	24	1 1 1
33.8	22	2 0 -2
47.8	21	1 1 4
41.0	21	1 2 -1

Structure:
abc: 6.432 4.836 8.862
angles: 90.00 92.24 90.00
Space group P2/c (No. 13)
One atom of each set of equivalent atoms:
Hg  0.190  0.073  0.478 x4
Se  0.500  0.444  0.250 x2
O  0.280  0.378  0.736 x4
O  0.494  0.229  0.404 x4

Calculated powder XRD pattern
Compound: Hg5SeO6
Radiation: CuKα
Structure: a DFT-relaxed cell (PBE, Alexandria)

Principal peaks in the range 10° ≤ 2θ ≤ 90°, in order of falling intensity:
2theta	I/Imax	h k l
34.8	100	1 3 1
33.6	80	1 3 -1
28.9	79	0 0 2
28.6	78	2 0 0
39.1	41	2 0 -2
53.1	27	3 3 -1
43.1	26	2 0 2
53.5	25	1 3 -3
39.5	25	0 4 1
55.6	24	3 3 1

Structure:
abc: 6.261 9.825 6.202
angles: 90.00 95.36 90.00
Space group C2/m (No. 12)
One atom of each set of equivalent atoms:
Hg  0.000  0.000  0.000 x2
Hg  0.000  0.151  0.500 x4
Hg  0.000  0.298  0.000 x4
Se  0.000  0.500  0.500 x2
O  0.120  0.500  0.240 x4
O  0.189  0.366  0.615 x8

Calculated powder XRD pattern
Compound: Hg3Te2SeO10
Radiation: CuKα
Structure: a DFT-relaxed cell (PBE, Alexandria)

Principal peaks in the range 10° ≤ 2θ ≤ 90°, in order of falling intensity:
2theta	I/Imax	h k l
27.7	100	2 1 -2
53.9	17	3 1 -6
45.6	16	1 2 -4
31.6	15	1 0 -4
32.1	15	0 2 0
54.5	15	1 3 2
10.8	13	1 0 0
46.1	11	4 0 -4
32.7	11	3 0 0
46.4	10	3 2 0

Structure:
abc: 8.689 5.584 11.338
angles: 90.00 108.99 90.00
Space group P2_1 (No. 4)
One atom of each set of equivalent atoms:
Hg  0.017  0.000  0.385 x2
Hg  0.020  0.982  0.874 x2
Hg  0.315  0.984  0.201 x2
Te  0.275  0.470  0.947 x2
Te  0.290  0.512  0.442 x2
Se  0.360  0.990  0.717 x2
O  0.091  0.359  0.814 x2
O  0.115  0.640  0.490 x2
O  0.148  0.672  0.018 x2
O  0.155  0.318  0.306 x2
O  0.240  0.821  0.775 x2
O  0.252  0.164  0.599 x2
O  0.257  0.178  0.032 x2
O  0.294  0.810  0.360 x2
O  0.477  0.166  0.834 x2
O  0.481  0.808  0.667 x2

Calculated powder XRD pattern
Compound: HgTeSe2O
Radiation: CuKα
Structure: a DFT-relaxed cell (PBE, Alexandria)

Principal peaks in the range 10° ≤ 2θ ≤ 90°, in order of falling intensity:
2theta	I/Imax	h k l
16.5	100	1 0 0
33.4	49	2 0 0
28.3	39	1 1 1
46.5	39	2 0 2
35.7	31	1 0 2
31.4	29	0 0 2
37.5	27	2 1 0
49.7	25	2 1 2
58.5	19	2 2 2
48.0	18	2 2 0

Structure:
abc: 5.366 5.366 5.691
angles: 90.00 90.00 90.00
Space group P4/mmm (No. 123)
One atom of each set of equivalent atoms:
Hg  0.000  0.000  0.000 x1
Te  0.000  0.000  0.500 x1
Se  0.000  0.500  0.500 x2
O  0.500  0.500  0.000 x1

Calculated powder XRD pattern
Compound: ZrHgSe2O8
Radiation: CuKα
Structure: a DFT-relaxed cell (PBE, Alexandria)

Principal peaks in the range 10° ≤ 2θ ≤ 90°, in order of falling intensity:
2theta	I/Imax	h k l
25.0	100	1 1 -2
20.9	60	1 1 1
33.5	41	3 1 0
19.5	35	2 0 0
26.3	33	1 1 2
31.6	29	0 2 0
27.6	28	2 0 2
20.6	28	2 0 -1
41.4	27	1 1 4
18.4	26	1 1 0

Structure:
abc: 9.163 5.663 10.101
angles: 90.00 95.46 90.00
Space group C2/m (No. 12)
One atom of each set of equivalent atoms:
Zr  0.000  0.000  0.000 x2
Hg  0.000  0.000  0.500 x2
Se  0.132  0.500  0.821 x4
O  0.030  0.264  0.857 x8
O  0.179  0.500  0.671 x4
O  0.224  0.000  0.059 x4

Calculated powder XRD pattern
Compound: SiHg2O4
Radiation: CuKα
Structure: a DFT-relaxed cell (PBE, Alexandria)

Principal peaks in the range 10° ≤ 2θ ≤ 90°, in order of falling intensity:
2theta	I/Imax	h k l
18.2	100	0 0 2
27.5	99	2 0 2
20.4	93	2 0 0
34.5	76	2 2 2
29.0	60	2 2 0
50.5	40	4 2 2
42.5	35	2 0 4
45.7	32	4 0 2
47.5	31	2 2 4
46.7	26	4 2 0

Structure:
abc: 8.702 8.702 9.767
angles: 90.00 90.00 90.00
Space group P4_2/nbc (No. 133, origin choice 2)
One atom of each set of equivalent atoms:
Si  0.250  0.750  0.250 x4
Hg  0.002  0.002  0.250 x8
O  0.140  0.644  0.148 x16